# CoO2
Simulated powder XRD pattern, a wavelength of 1.5418 Å. Input: a crystal structure in the Materials Project, relaxed with GGA+U.
No peak broadening, texture or thermal motion is included.

Atomic structure:
a b c (Å): 5.6531 5.6531 13.9938
angles (deg): 90.00 90.00 120.00
Space group P3m1 (No. 156)
One atom of each set of equivalent atoms:
Co: 0.0000 0.0000 0.0000 [1 per cell]
Co: 0.0000 0.0000 0.3748 [1 per cell]
Co: 0.1723 0.3447 0.1630 [3 per cell]
Co: 0.3313 0.1656 0.8328 [3 per cell]
Co: 0.3333 0.6667 0.7065 [1 per cell]
Co: 0.5056 0.0113 0.4967 [3 per cell]
O: 0.0000 0.0000 0.2382 [1 per cell]
O: 0.0000 0.0000 0.7629 [1 per cell]
O: 0.0283 0.5141 0.2288 [3 per cell]
O: 0.1460 0.2921 0.9091 [3 per cell]
O: 0.1698 0.3396 0.4252 [3 per cell]
O: 0.2934 0.1467 0.0850 [3 per cell]
O: 0.3333 0.6667 0.0925 [1 per cell]
O: 0.3333 0.6667 0.5703 [1 per cell]
O: 0.3693 0.1846 0.5644 [3 per cell]
O: 0.5050 0.0101 0.7617 [3 per cell]
O: 0.6667 0.3333 0.4245 [1 per cell]
O: 0.6667 0.3333 0.8992 [1 per cell]

Largest 8 diffraction maxima, by intensity, 2θ from 10° to 90°:
- (2 0 1), 37.25 deg, 2.414 Å, I = 100.0
- (0 0 3), 19.03 deg, 4.665 Å, I = 90.8
- (2 0 4), 45.21 deg, 2.006 Å, I = 70.6
- (0 1 1), 19.21 deg, 4.621 Å, I = 54.2
- (1 0 2), 22.16 deg, 4.011 Å, I = 42.3
- (2 2 0), 66.12 deg, 1.413 Å, I = 31.3
- (0 2 8), 65.60 deg, 1.423 Å, I = 29.8
- (2 0 7), 59.72 deg, 1.548 Å, I = 22.3